# PuSc2Cu9
Simulated X-ray diffraction stick pattern, λ = 1.5418 Å (Cu Kα). Input: a PBE-relaxed structure.
Peak positions follow from Bragg's law for the DFT cell and can differ from measured ones.

Most intense lines, 2θ = 15–90°, low angle first:
d_spacing, 2θ/deg, I (rel.)
3.568, 24.96, 254
2.716, 32.97, 211
2.558, 35.07, 309
2.489, 36.09, 222
2.206, 40.90, 338
2.179, 41.44, 216
2.157, 41.88, 1000
2.006, 45.21, 233
1.386, 67.58, 228
1.279, 74.12, 184

Atomic structure:
```
12
Lattice="2.558 1.477 8.022 -2.558 1.477 8.022 0.000 -2.954 8.022" Properties=species:S:1:pos:R:3 pbc="T T T"
Pu 0.000 0.000 0.000
Sc 0.000 0.000 3.483
Sc 0.000 0.000 20.583
Cu -1.290 -0.745 10.062
Cu 0.000 0.000 8.015
Cu 0.000 -1.489 14.005
Cu -1.290 0.745 14.005
Cu 0.000 0.000 12.033
Cu 1.290 -0.745 10.062
Cu 0.000 1.489 10.062
Cu 0.000 0.000 16.052
Cu 1.290 0.745 14.005
```